[1]
Diffraction record for Nd4Dy4In. The X-ray diffraction stick pattern is theoretical, not measured: it uses a PBE-relaxed structure and λ = 1.5418 Å (Cu Kα).
Neutral-atom scattering factors, no anomalous dispersion.

Most intense lines, 2θ = 10–80°, by angle:
30.7 deg, d 2.909, rel. 100.0
35.3 deg, d 2.539, rel. 34.3
36.2 deg, d 2.479, rel. 16.2
50.9 deg, d 1.796, rel. 12.1
51.5 deg, d 1.774, rel. 23.5
60.6 deg, d 1.528, rel. 28.4
61.8 deg, d 1.501, rel. 13.6
64.0 deg, d 1.454, rel. 12.1
74.8 deg, d 1.270, rel. 3.8
76.9 deg, d 1.240, rel. 1.8

Atomic structure:
a b c (Å): 8.0115 8.0115 8.0115
angles (deg): 95.50 95.50 143.95
Atoms (fractional coordinates):
Nd (0.1616, 0.1616, 0.3232)
Nd (0.1616, 0.8384, 0.0000)
Nd (0.8384, 0.1616, 0.0000)
Nd (0.8384, 0.8384, 0.6768)
Dy (0.1645, 0.5000, 0.6645)
Dy (0.5000, 0.1645, 0.6645)
Dy (0.5000, 0.8355, 0.3355)
Dy (0.8355, 0.5000, 0.3355)
In (0.5000, 0.5000, 0.0000)

---

[2]
Diffraction record for TcO4. The X-ray diffraction stick pattern is theoretical, not measured: it uses a PBE-relaxed structure and λ = 1.5418 Å (Cu Kα).
Neutral-atom scattering factors, no anomalous dispersion.

Most intense lines, 2θ = 10–80°, by angle:
19.4 deg, d 4.568, rel. 65.8
21.9 deg, d 4.059, rel. 100.0
24.5 deg, d 3.631, rel. 99.3
27.2 deg, d 3.282, rel. 16.1
33.7 deg, d 2.661, rel. 23.4
39.0 deg, d 2.312, rel. 11.8
40.1 deg, d 2.248, rel. 12.4
42.9 deg, d 2.106, rel. 13.3
44.6 deg, d 2.031, rel. 25.9
53.6 deg, d 1.711, rel. 11.6

Atomic structure:
a b c (Å): 5.3832 5.3832 7.5262
angles (deg): 102.90 102.90 57.34
Atoms (fractional coordinates):
Tc (0.2452, 0.7548, 0.7500)
Tc (0.7548, 0.2452, 0.2500)
O (0.0394, 0.1403, 0.4415)
O (0.1403, 0.0394, 0.9415)
O (0.3061, 0.4351, 0.8094)
O (0.4351, 0.3061, 0.3094)
O (0.5649, 0.6939, 0.6906)
O (0.6939, 0.5649, 0.1906)
O (0.8597, 0.9606, 0.0585)
O (0.9606, 0.8597, 0.5585)

---

[3]
Diffraction record for Ac2Pm3Tm4. The X-ray diffraction stick pattern is theoretical, not measured: it uses a PBE-relaxed structure and λ = 1.5418 Å (Cu Kα).
Neutral-atom scattering factors, no anomalous dispersion.

Most intense lines, 2θ = 10–80°, by angle:
29.8 deg, d 2.999, rel. 16.0
29.9 deg, d 2.988, rel. 34.7
30.2 deg, d 2.961, rel. 16.2
31.4 deg, d 2.849, rel. 100.0
31.6 deg, d 2.834, rel. 49.5
32.4 deg, d 2.763, rel. 69.5
44.0 deg, d 2.056, rel. 24.5
56.1 deg, d 1.639, rel. 21.2
56.7 deg, d 1.622, rel. 14.5
58.1 deg, d 1.588, rel. 14.0

Atomic structure:
a b c (Å): 7.2515 15.8206 5.6688
angles (deg): 90.00 90.00 90.00
Atoms (fractional coordinates):
Ac (0.1640, 0.0957, 0.0000)
Ac (0.3360, 0.5957, 0.5000)
Ac (0.6640, 0.4043, 0.5000)
Ac (0.8360, 0.9043, 0.0000)
Pm (0.0000, 0.5000, 0.0000)
Pm (0.1081, 0.8283, 0.5000)
Pm (0.3919, 0.3283, 0.0000)
Pm (0.5000, 0.0000, 0.5000)
Pm (0.6081, 0.6717, 0.0000)
Pm (0.8919, 0.1717, 0.5000)
Tm (0.0931, 0.7063, 0.0000)
Tm (0.1339, 0.3766, 0.5000)
Tm (0.3661, 0.8766, 0.0000)
Tm (0.4069, 0.2063, 0.5000)
Tm (0.5931, 0.7937, 0.5000)
Tm (0.6339, 0.1234, 0.0000)
Tm (0.8661, 0.6234, 0.5000)
Tm (0.9069, 0.2937, 0.0000)